1.
Starting from a DFT-relaxed cell (GGA-PBE, OQMD), the powder X-ray diffraction pattern of MgCdCo2P4 was calculated for Cu Ka.

Most intense lines, 2θ from 10° to 80°, in order of falling intensity:
| index | d/Å | I (rel.) |
| --- | --- | --- |
| 1 1 2 | 3.111 | 100 |
| 2 0 4 | 1.890 | 36 |
| 3 1 2 | 1.644 | 25 |
| 2 2 0 | 1.936 | 17 |
| 1 0 1 | 4.851 | 15 |
| 1 1 6 | 1.588 | 14 |
| 2 0 0 | 2.739 | 12 |
| 1 3 6 | 1.228 | 11 |
| 2 1 1 | 2.385 | 9 |
| 1 1 0 | 3.873 | 8 |
| 0 0 2 | 5.223 | 8 |
| 1 0 3 | 2.938 | 6 |

Cell and atoms:
```
data_MgCdCo2P4
_chemical_formula_sum 'Mg2 Cd2 Co4 P8'
_cell_length_a 5.477
_cell_length_b 5.477
_cell_length_c 10.446
_cell_angle_alpha 90.00
_cell_angle_beta 90.00
_cell_angle_gamma 90.00
_symmetry_space_group_name_H-M 'I -4'
_symmetry_Int_Tables_number 82
loop_
_symmetry_equiv_pos_as_xyz
'x,y,z'
'y,-x,-z'
'-x,-y,z'
'-y,x,-z'
'x+1/2,y+1/2,z+1/2'
'y+1/2,-x+1/2,-z+1/2'
'-x+1/2,-y+1/2,z+1/2'
'-y+1/2,x+1/2,-z+1/2'
loop_
_atom_site_label
_atom_site_type_symbol
_atom_site_fract_x
_atom_site_fract_y
_atom_site_fract_z
Mg1 Mg 0.000 0.000 0.000
Cd1 Cd 0.000 0.500 0.750
Co1 Co 0.000 0.000 0.500
Co2 Co 0.000 0.500 0.250
P1 P 0.174 0.747 0.377
```

=====

2.
Starting from a DFT-relaxed cell (GGA-PBE, OQMD), the powder X-ray diffraction pattern of HfZrSbAs was calculated for Cu Ka.

Most intense lines, 2θ from 10° to 80°, in order of falling intensity:
| index | d/Å | I (rel.) |
| --- | --- | --- |
| 1 0 3 | 2.699 | 100 |
| 1 1 0 | 1.961 | 43 |
| 2 0 3 | 1.586 | 20 |
| 1 0 2 | 3.026 | 18 |
| 2 1 3 | 1.233 | 17 |
| 1 0 6 | 1.859 | 17 |
| 1 0 5 | 2.097 | 15 |
| 1 0 4 | 2.379 | 14 |
| 1 1 8 | 1.270 | 13 |
| 1 0 0 | 3.397 | 13 |
| 0 0 2 | 6.665 | 10 |
| 1 0 1 | 3.292 | 8 |

Cell and atoms:
```
data_HfZrSbAs
_chemical_formula_sum 'Hf2 Zr2 Sb2 As2'
_cell_length_a 3.9222
_cell_length_b 3.9222
_cell_length_c 13.3308
_cell_angle_alpha 90.00
_cell_angle_beta 90.00
_cell_angle_gamma 120.00
_symmetry_space_group_name_H-M 'P 63 m c'
_symmetry_Int_Tables_number 186
_symmetry_space_group_name_Hall 'P 6c -2c'
loop_
_atom_site_label
_atom_site_type_symbol
_atom_site_fract_x
_atom_site_fract_y
_atom_site_fract_z
Hf1 Hf 0.3333 0.6667 0.0000
Zr1 Zr 0.3333 0.6667 0.7149
Sb1 Sb 0.3333 0.6667 0.3587
As1 As 0.0000 0.0000 0.1050
```

=====

3.
Starting from a DFT-relaxed cell (GGA-PBE, OQMD), the powder X-ray diffraction pattern of SrNi2Ge was calculated for Cu Ka.

Most intense lines, 2θ from 10° to 80°, in order of falling intensity:
| index | d/Å | I (rel.) |
| --- | --- | --- |
| 1 1 0 | 2.069 | 100 |
| 1 0 3 | 2.502 | 85 |
| 1 1 4 | 1.624 | 65 |
| 0 0 2 | 5.240 | 52 |
| 0 0 4 | 2.620 | 48 |
| 1 0 1 | 3.391 | 25 |
| 1 0 2 | 2.958 | 23 |
| 1 0 7 | 1.382 | 21 |
| 1 1 2 | 1.925 | 20 |
| 2 0 3 | 1.595 | 20 |
| 2 1 3 | 1.263 | 18 |
| 1 0 6 | 1.570 | 10 |

Cell and atoms:
```
data_SrNi2Ge
_chemical_formula_sum 'Sr2 Ni4 Ge2'
_cell_length_a 4.1388
_cell_length_b 4.1388
_cell_length_c 10.4808
_cell_angle_alpha 90.00
_cell_angle_beta 90.00
_cell_angle_gamma 120.00
_symmetry_space_group_name_H-M 'P -6 m 2'
_symmetry_Int_Tables_number 187
_symmetry_space_group_name_Hall 'P -6 2'
loop_
_atom_site_label
_atom_site_type_symbol
_atom_site_fract_x
_atom_site_fract_y
_atom_site_fract_z
Sr1 Sr 0.0000 0.0000 0.0000
Sr2 Sr 0.3333 0.6667 0.5000
Ni1 Ni 0.0000 0.0000 0.2841
Ni2 Ni 0.3333 0.6667 0.2161
Ge1 Ge 0.6667 0.3333 0.2512
```

=====

4.
Starting from a DFT-relaxed cell (GGA-PBE, OQMD), the powder X-ray diffraction pattern of AgPtSeO was calculated for Cu Ka.

Most intense lines, 2θ from 10° to 80°, in order of falling intensity:
| index | d/Å | I (rel.) |
| --- | --- | --- |
| 1 0 3 | 2.483 | 100 |
| 1 0 1 | 4.859 | 97 |
| 1 2 1 | 2.696 | 76 |
| 1 2 0 | 2.856 | 69 |
| 2 0 0 | 3.021 | 49 |
| 1 1 1 | 3.888 | 49 |
| 0 0 2 | 4.085 | 48 |
| 2 2 1 | 2.133 | 40 |
| 2 1 2 | 2.275 | 38 |
| 0 2 3 | 2.085 | 36 |
| 2 2 3 | 1.717 | 31 |
| 2 2 2 | 1.944 | 30 |

Cell and atoms:
```
data_AgPtSeO
_chemical_formula_sum 'Ag4 Pt4 Se4 O4'
_cell_length_a 6.044
_cell_length_b 6.482
_cell_length_c 8.170
_cell_angle_alpha 90.00
_cell_angle_beta 90.00
_cell_angle_gamma 90.00
_symmetry_space_group_name_H-M 'P 21 21 21'
_symmetry_Int_Tables_number 19
loop_
_symmetry_equiv_pos_as_xyz
'x,y,z'
'-x+1/2,-y,z+1/2'
'x+1/2,-y+1/2,-z'
'-x,y+1/2,-z+1/2'
loop_
_atom_site_label
_atom_site_type_symbol
_atom_site_fract_x
_atom_site_fract_y
_atom_site_fract_z
Ag1 Ag 0.002 0.044 0.416
Pt1 Pt 0.001 0.177 0.749
Se1 Se 0.222 0.576 0.360
O1 O 0.156 0.927 0.822
```

=====

5.
Starting from a DFT-relaxed cell (GGA-PBE, OQMD), the powder X-ray diffraction pattern of ZnAu was calculated for Cu Ka.

Most intense lines, 2θ from 10° to 80°, in order of falling intensity:
| index | d/Å | I (rel.) |
| --- | --- | --- |
| 1 1 0 | 2.252 | 100 |
| 2 1 1 | 1.300 | 34 |
| 1 0 0 | 3.185 | 28 |
| 2 0 0 | 1.592 | 17 |
| 2 1 0 | 1.424 | 11 |
| 1 1 1 | 1.839 | 8 |

Cell and atoms:
```
data_ZnAu
_chemical_formula_sum 'Zn1 Au1'
_cell_length_a 3.185
_cell_length_b 3.185
_cell_length_c 3.185
_cell_angle_alpha 90.00
_cell_angle_beta 90.00
_cell_angle_gamma 90.00
_symmetry_space_group_name_H-M 'P m -3 m'
_symmetry_Int_Tables_number 221
_symmetry_space_group_name_Hall '-P 4 2 3'
loop_
_atom_site_label
_atom_site_type_symbol
_atom_site_fract_x
_atom_site_fract_y
_atom_site_fract_z
Zn1 Zn 0.000 0.000 0.000
Au1 Au 0.500 0.500 0.500
```

=====

6.
Starting from a DFT-relaxed cell (GGA-PBE, OQMD), the powder X-ray diffraction pattern of ErHfNO was calculated for Cu Ka.

Most intense lines, 2θ from 10° to 80°, in order of falling intensity:
| index | d/Å | I (rel.) |
| --- | --- | --- |
| 2 1 1 | 2.734 | 100 |
| 0 0 2 | 2.369 | 29 |
| 0 2 0 | 3.104 | 27 |
| 0 2 1 | 2.596 | 25 |
| 2 1 0 | 3.348 | 23 |
| 2 3 0 | 1.835 | 21 |
| 2 3 2 | 1.451 | 19 |
| 4 0 0 | 1.988 | 15 |
| 2 1 3 | 1.428 | 15 |
| 4 0 2 | 1.523 | 13 |
| 0 2 2 | 1.883 | 13 |
| 4 2 1 | 1.578 | 11 |

Cell and atoms:
```
data_ErHfNO
_chemical_formula_sum 'Er4 Hf4 N4 O4'
_cell_length_a 7.952
_cell_length_b 6.208
_cell_length_c 4.738
_cell_angle_alpha 90.00
_cell_angle_beta 90.00
_cell_angle_gamma 90.00
_symmetry_space_group_name_H-M 'P b c m'
_symmetry_Int_Tables_number 57
loop_
_symmetry_equiv_pos_as_xyz
'x,y,z'
'-x,-y,-z'
'-x,-y,z+1/2'
'x,y,-z+1/2'
'x,-y+1/2,-z'
'-x,y+1/2,z'
'-x,y+1/2,-z+1/2'
'x,-y+1/2,z+1/2'
loop_
_atom_site_label
_atom_site_type_symbol
_atom_site_fract_x
_atom_site_fract_y
_atom_site_fract_z
Er1 Er 0.135 0.078 0.250
Hf1 Hf 0.390 0.550 0.250
N1 N 0.135 0.051 0.750
O1 O 0.366 0.613 0.750
```

=====

7.
Starting from a DFT-relaxed cell (GGA-PBE, OQMD), the powder X-ray diffraction pattern of Ba2CuOsS6 was calculated for Cu Ka.

Most intense lines, 2θ from 10° to 80°, in order of falling intensity:
| index | d/Å | I (rel.) |
| --- | --- | --- |
| 1 1 0 | 3.393 | 100 |
| 0 2 4 | 2.437 | 73 |
| 1 0 4 | 3.504 | 69 |
| 1 0 1 | 5.570 | 34 |
| 3 -1 4 | 1.980 | 34 |
| 2 2 0 | 1.697 | 31 |
| 0 1 5 | 3.001 | 25 |
| 3 0 0 | 1.959 | 22 |
| 2 0 2 | 2.785 | 19 |
| 2 0 8 | 1.752 | 18 |
| 0 0 6 | 2.909 | 18 |
| 3 -2 5 | 1.874 | 16 |

Cell and atoms:
```
data_Ba2CuOsS6
_chemical_formula_sum 'Ba6 Cu3 Os3 S18'
_cell_length_a 6.7862
_cell_length_b 6.7862
_cell_length_c 17.4551
_cell_angle_alpha 90.00
_cell_angle_beta 90.00
_cell_angle_gamma 120.00
_symmetry_space_group_name_H-M 'R 3'
_symmetry_Int_Tables_number 146
_symmetry_space_group_name_Hall 'R 3'
loop_
_atom_site_label
_atom_site_type_symbol
_atom_site_fract_x
_atom_site_fract_y
_atom_site_fract_z
Ba1 Ba 0.0000 0.0000 0.0000
Ba2 Ba 0.0000 0.0000 0.4868
Cu1 Cu 0.0000 0.0000 0.6681
Os1 Os 0.0000 0.0000 0.2280
S1 S 0.0067 0.5070 0.5037
S2 S 0.0357 0.5096 0.9994
```

=====

8.
Starting from a DFT-relaxed cell (GGA-PBE, OQMD), the powder X-ray diffraction pattern of Na2Mg2GaSiPd2 was calculated for Cu Ka.

Most intense lines, 2θ from 10° to 80°, in order of falling intensity:
| index | d/Å | I (rel.) |
| --- | --- | --- |
| 2 0 0 | 2.294 | 100 |
| 1 0 1 | 3.745 | 44 |
| 3 1 2 | 1.324 | 32 |
| 2 1 1 | 1.956 | 21 |
| 2 2 0 | 1.622 | 16 |
| 1 1 0 | 3.244 | 9 |
| 3 0 1 | 1.488 | 9 |
| 3 2 1 | 1.248 | 7 |
| 3 1 0 | 1.451 | 3 |
| 1 1 1 | 2.901 | 3 |
| 2 0 2 | 1.873 | 2 |
| 1 0 0 | 4.587 | 2 |

Cell and atoms:
```
data_Na2Mg2GaSiPd2
_chemical_formula_sum 'Na2 Mg2 Ga1 Si1 Pd2'
_cell_length_a 4.587
_cell_length_b 4.587
_cell_length_c 6.488
_cell_angle_alpha 90.00
_cell_angle_beta 90.00
_cell_angle_gamma 90.00
_symmetry_space_group_name_H-M 'P -4 m 2'
_symmetry_Int_Tables_number 115
loop_
_symmetry_equiv_pos_as_xyz
'x,y,z'
'y,-x,-z'
'-x,-y,z'
'-y,x,-z'
'-x,y,z'
'-y,-x,-z'
'x,-y,z'
'y,x,-z'
loop_
_atom_site_label
_atom_site_type_symbol
_atom_site_fract_x
_atom_site_fract_y
_atom_site_fract_z
Na1 Na 0.000 0.500 0.247
Mg1 Mg 0.000 0.000 0.000
Mg2 Mg 0.500 0.500 0.500
Ga1 Ga 0.000 0.000 0.500
Si1 Si 0.500 0.500 0.000
Pd1 Pd 0.000 0.500 0.761
```

=====

9.
Starting from a DFT-relaxed cell (GGA-PBE, OQMD), the powder X-ray diffraction pattern of HfBAsO was calculated for Cu Ka.

Most intense lines, 2θ from 10° to 80°, in order of falling intensity:
| index | d/Å | I (rel.) |
| --- | --- | --- |
| 1 1 2 | 2.148 | 100 |
| 0 1 0 | 3.326 | 97 |
| 1 0 2 | 2.813 | 86 |
| 2 0 0 | 2.718 | 86 |
| 0 0 1 | 6.574 | 69 |
| 2 1 0 | 2.105 | 57 |
| 3 1 2 | 1.432 | 50 |
| 0 1 1 | 2.968 | 44 |
| 1 1 3 | 1.734 | 39 |
| 1 0 3 | 2.032 | 30 |
| 2 1 1 | 2.005 | 28 |
| 3 1 3 | 1.287 | 28 |

Cell and atoms:
```
data_HfBAsO
_chemical_formula_sum 'Hf2 B2 As2 O2'
_cell_length_a 5.437
_cell_length_b 3.326
_cell_length_c 6.574
_cell_angle_alpha 90.00
_cell_angle_beta 90.00
_cell_angle_gamma 90.00
_symmetry_space_group_name_H-M 'P m m a'
_symmetry_Int_Tables_number 51
loop_
_symmetry_equiv_pos_as_xyz
'x,y,z'
'-x,-y,-z'
'-x+1/2,-y,z'
'x+1/2,y,-z'
'x+1/2,-y,-z'
'-x+1/2,y,z'
'-x,y,-z'
'x,-y,z'
loop_
_atom_site_label
_atom_site_type_symbol
_atom_site_fract_x
_atom_site_fract_y
_atom_site_fract_z
Hf1 Hf 0.250 0.000 0.131
B1 B 0.250 0.500 0.549
As1 As 0.250 0.000 0.725
O1 O 0.250 0.500 0.342
```

=====

10.
Starting from a DFT-relaxed cell (GGA-PBE, OQMD), the powder X-ray diffraction pattern of CsRb3Cd2Pb2 was calculated for Cu Ka.

Most intense lines, 2θ from 10° to 80°, in order of falling intensity:
| index | d/Å | I (rel.) |
| --- | --- | --- |
| 2 1 -1 | 3.150 | 100 |
| 1 1 -2 | 3.170 | 86 |
| 1 2 1 | 2.727 | 63 |
| 1 0 -1 | 5.814 | 60 |
| 3 0 -3 | 1.937 | 54 |
| 1 2 0 | 3.106 | 44 |
| 1 1 0 | 4.924 | 39 |
| 0 2 0 | 3.460 | 34 |
| 0 2 2 | 2.476 | 31 |
| 2 0 -1 | 3.537 | 26 |
| 0 1 1 | 4.951 | 26 |
| 2 3 -1 | 1.932 | 25 |

Cell and atoms:
```
data_CsRb3Cd2Pb2
_chemical_formula_sum 'Cs1 Rb3 Cd2 Pb2'
_cell_length_a 7.269
_cell_length_b 6.921
_cell_length_c 7.351
_cell_angle_alpha 90.00
_cell_angle_beta 105.40
_cell_angle_gamma 90.00
_symmetry_space_group_name_H-M 'P 1 m 1'
_symmetry_Int_Tables_number 6
loop_
_symmetry_equiv_pos_as_xyz
'x,y,z'
'x,-y,z'
loop_
_atom_site_label
_atom_site_type_symbol
_atom_site_fract_x
_atom_site_fract_y
_atom_site_fract_z
Cs1 Cs 0.000 0.000 0.000
Rb1 Rb 0.050 0.500 0.360
Rb2 Rb 0.348 0.000 0.657
Rb3 Rb 0.701 0.500 0.703
Cd1 Cd 0.527 0.250 0.180
Pb1 Pb 0.264 0.500 0.918
Pb2 Pb 0.782 0.000 0.449
```

=====

11.
Starting from a DFT-relaxed cell (GGA-PBE, OQMD), the powder X-ray diffraction pattern of NpZn was calculated for Cu Ka.

Most intense lines, 2θ from 10° to 80°, in order of falling intensity:
| index | d/Å | I (rel.) |
| --- | --- | --- |
| 0 1 4 | 2.367 | 100 |
| 1 0 2 | 2.388 | 78 |
| 1 1 2 | 2.108 | 61 |
| 0 2 0 | 2.241 | 52 |
| 1 2 2 | 1.634 | 49 |
| 0 1 3 | 2.861 | 38 |
| 1 1 6 | 1.439 | 35 |
| 1 1 5 | 1.593 | 35 |
| 1 0 1 | 2.572 | 26 |
| 0 0 3 | 3.716 | 22 |
| 0 3 4 | 1.317 | 16 |
| 1 2 1 | 1.690 | 16 |

Cell and atoms:
```
data_NpZn
_chemical_formula_sum 'Np4 Zn4'
_cell_length_a 2.643
_cell_length_b 4.482
_cell_length_c 11.148
_cell_angle_alpha 90.00
_cell_angle_beta 90.00
_cell_angle_gamma 90.00
_symmetry_space_group_name_H-M 'P m m n'
_symmetry_Int_Tables_number 59
loop_
_symmetry_equiv_pos_as_xyz
'x,y,z'
'-x,-y,-z'
'-x+1/2,-y+1/2,z'
'x+1/2,y+1/2,-z'
'x+1/2,-y,-z'
'-x+1/2,y,z'
'-x,y+1/2,-z'
'x,-y+1/2,z'
loop_
_atom_site_label
_atom_site_type_symbol
_atom_site_fract_x
_atom_site_fract_y
_atom_site_fract_z
Np1 Np 0.250 0.250 0.087
Np2 Np 0.250 0.750 0.187
Zn1 Zn 0.250 0.250 0.551
Zn2 Zn 0.250 0.750 0.665
```

=====

12.
Starting from a DFT-relaxed cell (GGA-PBE, OQMD), the powder X-ray diffraction pattern of Nd2BiSe2F was calculated for Cu Ka.

Most intense lines, 2θ from 10° to 80°, in order of falling intensity:
| index | d/Å | I (rel.) |
| --- | --- | --- |
| 1 1 2 | 2.426 | 100 |
| 1 1 1 | 2.740 | 99 |
| 1 0 1 | 3.708 | 78 |
| 2 0 0 | 2.034 | 57 |
| 0 0 3 | 3.010 | 57 |
| 1 0 3 | 2.419 | 56 |
| 2 0 3 | 1.685 | 52 |
| 3 1 2 | 1.237 | 31 |
| 2 1 3 | 1.557 | 29 |
| 1 0 0 | 4.067 | 27 |
| 1 0 2 | 3.022 | 27 |
| 2 1 1 | 1.783 | 22 |

Cell and atoms:
```
data_Nd2BiSe2F
_chemical_formula_sum 'Nd2 Bi1 Se2 F1'
_cell_length_a 4.067
_cell_length_b 4.067
_cell_length_c 9.029
_cell_angle_alpha 90.00
_cell_angle_beta 90.00
_cell_angle_gamma 90.00
_symmetry_space_group_name_H-M 'P -4 m 2'
_symmetry_Int_Tables_number 115
loop_
_symmetry_equiv_pos_as_xyz
'x,y,z'
'y,-x,-z'
'-x,-y,z'
'-y,x,-z'
'-x,y,z'
'-y,-x,-z'
'x,-y,z'
'y,x,-z'
loop_
_atom_site_label
_atom_site_type_symbol
_atom_site_fract_x
_atom_site_fract_y
_atom_site_fract_z
Nd1 Nd 0.000 0.500 0.210
Bi1 Bi 0.000 0.000 0.500
Se1 Se 0.000 0.500 0.871
F1 F 0.500 0.500 0.500
```